The following is a simulated powder diffraction line list of SrCaSmMnO6. It was derived from a structure optimized by DFT (GGA+U), using Cu Kα (λ = 1.5418 Å).
Kinematic intensities with the Lorentz-polarization factor, no thermal factor.

Top 6 peaks for 2θ = 10–90°, by angle:
- 18.57°, rel. 19.1
- 30.56°, rel. 100.0
- 43.76°, rel. 35.7
- 54.31°, rel. 38.4
- 63.61°, rel. 20.9
- 88.40°, rel. 20.7

Crystal structure
```
data_SrCaSmMnO6
_chemical_formula_sum 'Sr1 Ca1 Sm1 Mn1 O6'
_symmetry_space_group_name_H-M 'P 1'
_symmetry_Int_Tables_number 1
_cell_length_a 5.8511
_cell_length_b 5.8511
_cell_length_c 5.8511
_cell_angle_alpha 60.00
_cell_angle_beta 60.00
_cell_angle_gamma 60.00
loop_
_symmetry_equiv_pos_as_xyz
'x,y,z'
loop_
_atom_site_label
_atom_site_type_symbol
_atom_site_fract_x
_atom_site_fract_y
_atom_site_fract_z
Sr1 Sr 0.0000 0.0000 0.0000
Ca1 Ca 0.5000 0.5000 0.5000
Sm1 Sm 0.2500 0.2500 0.2500
Mn1 Mn 0.7500 0.7500 0.7500
O1 O 0.5208 0.5208 0.9792
O2 O 0.5208 0.9792 0.5208
O3 O 0.5208 0.9792 0.9792
O4 O 0.9792 0.5208 0.5208
O5 O 0.9792 0.5208 0.9792
O6 O 0.9792 0.9792 0.5208
```